No. 1
For CsLi2CrO4, a DFT-relaxed cell (GGA+U, Alexandria) gives the theoretical powder X-ray diffraction pattern in this record (Cu Kα).
Neutral-atom scattering factors, no anomalous dispersion.

Structure:
```
8
Lattice="-2.7878 2.7878 3.8493 2.7878 -2.7878 3.8493 2.7878 2.7878 -3.8493" Properties=species:S:1:pos:R:3 pbc="T T T"
Cs 0.0000 0.0000 0.0000
Li 2.7878 0.0000 1.9246
Li 0.0000 2.7878 1.9246
Cr 0.0000 0.0000 3.8493
O 0.9613 -0.9613 2.7668
O 1.8266 1.8266 1.0825
O -0.9613 0.9613 2.7668
O 0.9613 0.9613 4.9318
```

Peak list (10 most intense, 2θ from 5° to 70°, in order of falling intensity)
two_theta	intensity
22.55	100
32.51	85
39.93	39
23.11	33
57.49	32
32.11	27
37.93	25
19.66	21
58.25	19
46.04	18

No. 2
For CsMgCr2O8, a DFT-relaxed cell (GGA+U, Alexandria) gives the theoretical powder X-ray diffraction pattern in this record (Cu Kα).
Neutral-atom scattering factors, no anomalous dispersion.

Structure:
```
12
Lattice="5.6083 0.0000 0.0000 -2.8041 4.8569 0.0000 0.0000 0.0000 8.2791" Properties=species:S:1:pos:R:3 pbc="T T T"
Cs 0.0000 0.0000 0.0000
Mg 0.0000 0.0000 4.1395
Cr 0.0000 3.2379 5.9107
Cr 2.8041 1.6190 2.3684
O -1.3701 4.0231 5.3716
O 0.0051 1.6588 5.3716
O 0.0000 3.2379 7.5514
O 1.4391 0.8250 2.9075
O 1.3650 4.0319 5.3716
O 2.8041 1.6190 0.7277
O 2.7991 3.1981 2.9075
O 4.1742 0.8338 2.9075
```

Peak list (10 most intense, 2θ from 5° to 70°, in order of falling intensity)
two_theta	intensity
21.21	100
28.33	70
31.91	46
43.19	27
18.27	25
54.70	21
33.75	18
50.95	15
32.44	15
38.64	14

No. 3
For CsMnCr2O8, a DFT-relaxed cell (GGA+U, Alexandria) gives the theoretical powder X-ray diffraction pattern in this record (Cu Kα).
Neutral-atom scattering factors, no anomalous dispersion.

Structure:
```
12
Lattice="5.2940 0.0000 0.0000 -2.6470 4.5848 0.0000 0.0000 0.0000 8.6151" Properties=species:S:1:pos:R:3 pbc="T T T"
Cs 0.0000 0.0000 0.0000
Mn 0.0000 0.0000 4.3076
Cr 0.0000 3.0565 6.0183
Cr 2.6470 1.5283 2.5969
O -0.5176 1.5455 5.4905
O -1.0498 4.2603 5.4905
O 0.0000 3.0565 7.6517
O 1.0797 1.2210 3.1246
O 1.5674 3.3638 5.4905
O 2.6470 1.5283 0.9635
O 3.6968 0.3245 3.1246
O 3.1646 3.0393 3.1246
```

Peak list (10 most intense, 2θ from 5° to 70°, in order of falling intensity)
two_theta	intensity
28.43	100
21.96	75
33.86	48
19.36	37
44.79	28
46.61	26
57.31	26
69.66	16
54.96	14
31.14	13

No. 4
For Cs2NaCrO4, a DFT-relaxed cell (GGA+U, Alexandria) gives the theoretical powder X-ray diffraction pattern in this record (Cu Kα).
Neutral-atom scattering factors, no anomalous dispersion.

Structure:
```
16
Lattice="0.0000 6.1826 11.1584 2.7535 0.0000 11.1584 2.7535 6.1826 0.0000" Properties=species:S:1:pos:R:3 pbc="T T T"
Cs 2.0652 4.6370 1.1634
Cs 3.4419 7.7283 6.7426
Cs 2.0652 4.6370 15.5741
Cs 3.4419 7.7283 21.1533
Na 0.6884 1.5457 2.7896
Na 4.8187 10.8196 19.5271
Cr 2.0652 4.6370 8.3688
Cr 3.4419 7.7283 13.9479
O 3.0798 3.5899 7.4241
O 3.0798 5.6841 9.3134
O 4.4566 6.6812 14.8926
O 4.4566 8.7754 13.0033
O 1.0505 3.5899 9.3134
O 1.0505 5.6841 7.4241
O 2.4273 6.6812 13.0033
O 2.4273 8.7754 14.8926
```

Peak list (10 most intense, 2θ from 5° to 70°, in order of falling intensity)
two_theta	intensity
21.32	100
28.00	66
29.62	62
50.70	37
35.70	34
28.88	28
40.77	24
33.78	20
40.56	15
41.84	13